1.
Starting from the PBE geometry in Alexandria, the X-ray powder pattern of Nd7BiSe5 was simulated for Cu Kα, 1.54184 Å.
Intensities are scaled so that the largest is 100.

Principal peaks in the range 15° ≤ 2θ ≤ 90°, in order of rising 2θ:
two_theta  I (rel.)
27.86  68
28.14  20
29.40  100
30.47  56
31.10  19
38.93  30
42.04  18
42.41  33
42.88  28
43.13  21
51.50  26
70.15  21

Structure:
```
Nd7BiSe5
1.0
2.1314 -6.9139 0.0000
2.1314 6.9139 0.0000
0.0000 0.0000 25.2997
Nd Bi Se
14 2 10
Direct
0.0193 0.9807 0.7500 Nd
0.1377 0.8623 0.0372 Nd
0.1377 0.8623 0.4628 Nd
0.3158 0.6842 0.6754 Nd
0.3158 0.6842 0.8246 Nd
0.4083 0.5917 0.1136 Nd
0.4083 0.5917 0.3864 Nd
0.5917 0.4083 0.6136 Nd
0.5917 0.4083 0.8864 Nd
0.6842 0.3158 0.1754 Nd
0.6842 0.3158 0.3246 Nd
0.8623 0.1377 0.5372 Nd
0.8623 0.1377 0.9628 Nd
0.9807 0.0193 0.2500 Nd
0.3070 0.6930 0.2500 Bi
0.6930 0.3070 0.7500 Bi
0.0487 0.9513 0.1417 Se
0.0487 0.9513 0.3582 Se
0.2239 0.7761 0.5706 Se
0.2239 0.7761 0.9294 Se
0.5000 0.5000 0.0000 Se
0.5000 0.5000 0.5000 Se
0.7761 0.2239 0.0706 Se
0.7761 0.2239 0.4294 Se
0.9513 0.0487 0.6418 Se
0.9513 0.0487 0.8582 Se
```

2.
Starting from the PBE geometry in Alexandria, the X-ray powder pattern of Nd4BiSe2 was simulated for Cu Kα, 1.54184 Å.
Intensities are scaled so that the largest is 100.

Principal peaks in the range 15° ≤ 2θ ≤ 90°, in order of rising 2θ:
two_theta  I (rel.)
28.08  60
28.64  42
29.00  100
31.00  44
38.31  35
40.70  15
41.88  29
43.19  19
43.55  17
51.17  30
53.44  17
70.01  18

Structure:
```
Nd4BiSe2
1.0
2.1570 -6.9279 0.0000
2.1570 6.9279 0.0000
0.0000 0.0000 14.3016
Nd Bi Se
8 2 4
Direct
0.0000 0.0000 0.0000 Nd
0.0000 0.0000 0.5000 Nd
0.2687 0.7313 0.6193 Nd
0.2687 0.7313 0.8807 Nd
0.4359 0.5641 0.2500 Nd
0.5641 0.4359 0.7500 Nd
0.7313 0.2687 0.1193 Nd
0.7313 0.2687 0.3807 Nd
0.1072 0.8928 0.2500 Bi
0.8928 0.1072 0.7500 Bi
0.3650 0.6350 0.0603 Se
0.3650 0.6350 0.4397 Se
0.6350 0.3650 0.5603 Se
0.6350 0.3650 0.9397 Se
```

3.
Starting from the PBE geometry in Alexandria, the X-ray powder pattern of NdThBiSe was simulated for Cu Kα, 1.54184 Å.
Intensities are scaled so that the largest is 100.

Principal peaks in the range 15° ≤ 2θ ≤ 90°, in order of rising 2θ:
two_theta  I (rel.)
24.23  36
25.16  14
28.62  51
30.98  100
36.61  34
42.05  59
46.63  12
51.65  11
53.14  22
56.06  13
65.48  24
69.97  20

Structure:
```
NdThBiSe
1.0
4.2979 0.0000 0.0000
-2.1490 3.7221 0.0000
0.0000 0.0000 22.8564
Nd Th Bi Se
3 3 3 3
Direct
0.0000 0.0000 0.0000 Nd
0.3333 0.6667 0.6667 Nd
0.6667 0.3333 0.3333 Nd
0.0000 0.0000 0.1862 Th
0.3333 0.6667 0.8529 Th
0.6667 0.3333 0.5195 Th
0.0000 0.0000 0.4265 Bi
0.3333 0.6667 0.0931 Bi
0.6667 0.3333 0.7598 Bi
0.0000 0.0000 0.5954 Se
0.3333 0.6667 0.2620 Se
0.6667 0.3333 0.9287 Se
```

4.
Starting from the PBE geometry in Alexandria, the X-ray powder pattern of Nd5Si2Bi was simulated for Cu Kα, 1.54184 Å.
Intensities are scaled so that the largest is 100.

Principal peaks in the range 15° ≤ 2θ ≤ 90°, in order of rising 2θ:
two_theta  I (rel.)
15.72  24
25.73  55
29.22  71
31.14  97
31.75  36
33.35  100
35.62  91
50.85  43
52.35  22
55.01  46
63.03  30
65.99  23

Structure:
```
Nd5Si2Bi
1.0
-3.9857 3.9857 7.2739
3.9857 -3.9857 7.2739
3.9857 3.9857 -7.2739
Nd Si Bi
10 4 2
Direct
0.0000 0.0000 0.0000 Nd
0.0314 0.5314 0.8369 Nd
0.1945 0.0314 0.5000 Nd
0.3055 0.8055 0.8369 Nd
0.4686 0.3055 0.5000 Nd
0.5000 0.5000 0.0000 Nd
0.5314 0.6945 0.5000 Nd
0.6945 0.1945 0.1631 Nd
0.8055 0.9686 0.5000 Nd
0.9686 0.4686 0.1631 Nd
0.1246 0.3754 0.5000 Si
0.3754 0.8754 0.2509 Si
0.6246 0.1246 0.7491 Si
0.8754 0.6246 0.5000 Si
0.2500 0.2500 0.0000 Bi
0.7500 0.7500 0.0000 Bi
```

5.
Starting from the PBE geometry in Alexandria, the X-ray powder pattern of NdSiBi was simulated for Cu Kα, 1.54184 Å.
Intensities are scaled so that the largest is 100.

Principal peaks in the range 15° ≤ 2θ ≤ 90°, in order of rising 2θ:
two_theta  I (rel.)
16.31  12
25.98  46
29.61  100
32.25  34
33.53  34
38.70  20
45.33  24
49.47  17
52.54  20
59.52  14
61.47  12
85.07  12

Structure:
```
NdSiBi
1.0
6.9676 0.0000 0.0000
-3.4838 6.0341 0.0000
0.0000 0.0000 12.5025
Nd Si Bi
6 6 6
Direct
0.0000 0.5000 0.3948 Nd
0.0000 0.5000 0.9386 Nd
0.5000 0.0000 0.2719 Nd
0.5000 0.0000 0.7281 Nd
0.5000 0.5000 0.0614 Nd
0.5000 0.5000 0.6052 Nd
0.1869 0.5935 0.1667 Si
0.4065 0.5935 0.8333 Si
0.4065 0.8131 0.5000 Si
0.5935 0.1869 0.5000 Si
0.5935 0.4065 0.8333 Si
0.8131 0.4065 0.1667 Si
0.0000 0.0000 0.1667 Bi
0.0000 0.0000 0.5000 Bi
0.0000 0.0000 0.8333 Bi
0.0000 0.5000 0.6667 Bi
0.5000 0.0000 0.0000 Bi
0.5000 0.5000 0.3333 Bi
```

6.
Starting from the PBE geometry in Alexandria, the X-ray powder pattern of NdSm4Bi5 was simulated for Cu Kα, 1.54184 Å.
Intensities are scaled so that the largest is 100.

Principal peaks in the range 15° ≤ 2θ ≤ 90°, in order of rising 2θ:
two_theta  I (rel.)
23.86  5
27.62  100
39.45  79
46.63  3
48.83  29
57.02  14
62.68  1
64.51  38
71.55  28
76.64  1
84.91  9
89.82  1

Structure:
```
NdSm4Bi5
1.0
-2.2846 2.2846 16.1435
2.2846 -2.2846 16.1435
2.2846 2.2846 -16.1435
Nd Sm Bi
1 4 5
Direct
0.0000 0.0000 0.0000 Nd
0.2003 0.2003 0.0000 Sm
0.3998 0.3998 0.0000 Sm
0.6002 0.6002 0.0000 Sm
0.7997 0.7997 0.0000 Sm
0.1006 0.1006 0.0000 Bi
0.3000 0.3000 0.0000 Bi
0.5000 0.5000 0.0000 Bi
0.7000 0.7000 0.0000 Bi
0.8994 0.8994 0.0000 Bi
```